# 1
BaDy4Mn3O12: calculated powder diffractogram (Cu Kα (λ = 1.5418 Å)), based on a GGA+U-relaxed structure.
Peak positions follow from Bragg's law for the DFT cell and can differ from measured ones.

Cell and atoms:
abc: 7.1376 7.1376 7.1376
angles: 109.47 109.47 109.47
Sites, in units of the cell vectors:
Ba  0.0000  0.0000  0.0000
Dy  0.0000  0.0000  0.5000
Dy  0.0000  0.5000  0.0000
Dy  0.5000  0.0000  0.0000
Dy  0.5000  0.5000  0.5000
Mn  0.0000  0.5000  0.5000
Mn  0.5000  0.0000  0.5000
Mn  0.5000  0.5000  0.0000
O  0.1584  0.4835  0.3252
O  0.1584  0.8332  0.6748
O  0.1668  0.3252  0.8416
O  0.3252  0.1584  0.4835
O  0.3252  0.8416  0.1668
O  0.4835  0.3252  0.1584
O  0.5165  0.6748  0.8416
O  0.6748  0.1584  0.8332
O  0.6748  0.8416  0.5165
O  0.8332  0.6748  0.1584
O  0.8416  0.1668  0.3252
O  0.8416  0.5165  0.6748

Principal peaks in the range 2θ = 10–90°, sorted by position:
21.6 deg, rel. 17
30.7 deg, rel. 100
37.8 deg, rel. 4
43.9 deg, rel. 21
49.5 deg, rel. 10
54.5 deg, rel. 48
63.9 deg, rel. 12
72.5 deg, rel. 18
80.8 deg, rel. 5
88.9 deg, rel. 21

---

# 2
BaDyMn4O12: calculated powder diffractogram (Cu Kα (λ = 1.5418 Å)), based on a GGA+U-relaxed structure.
Peak positions follow from Bragg's law for the DFT cell and can differ from measured ones.

Cell and atoms:
abc: 5.3985 5.3985 7.6019
angles: 90.00 90.00 90.00
Sites, in units of the cell vectors:
Ba  0.0000  0.0000  0.0000
Dy  0.5000  0.5000  0.5000
Mn  0.0000  0.5000  0.2504
Mn  0.0000  0.5000  0.7496
Mn  0.5000  0.0000  0.2504
Mn  0.5000  0.0000  0.7496
O  0.0000  0.5000  0.0000
O  0.0000  0.5000  0.5000
O  0.2627  0.2627  0.2720
O  0.2627  0.2627  0.7280
O  0.2627  0.7373  0.2720
O  0.2627  0.7373  0.7280
O  0.5000  0.0000  0.0000
O  0.5000  0.0000  0.5000
O  0.7373  0.2627  0.2720
O  0.7373  0.2627  0.7280
O  0.7373  0.7373  0.2720
O  0.7373  0.7373  0.7280

Principal peaks in the range 2θ = 10–90°, sorted by position:
20.2 deg, rel. 99
33.2 deg, rel. 100
39.1 deg, rel. 35
39.3 deg, rel. 17
47.6 deg, rel. 28
52.3 deg, rel. 16
59.3 deg, rel. 25
59.5 deg, rel. 13
63.3 deg, rel. 14
69.8 deg, rel. 15